This entry pairs a crystal structure of AlFeTeH6 with its theoretical powder diffractogram. Radiation: a wavelength of 1.5418 Å. Structure: a cell relaxed with GGA-PBE.
Neutral-atom scattering factors, no anomalous dispersion.

Atomic structure:
```
AlFeTeH6
1.0
0.0000 3.3554 3.3554
3.3554 0.0000 3.3554
3.3554 3.3554 0.0000
Al Fe Te H
1 1 1 6
direct
0.0000 0.0000 0.0000
0.7500 0.7500 0.7500
0.2500 0.2500 0.2500
0.2610 0.2610 0.7390
0.2610 0.7390 0.2610
0.2610 0.7390 0.7390
0.7390 0.2610 0.2610
0.7390 0.2610 0.7390
0.7390 0.7390 0.2610
```

Main lines, sorted by position (2θ = 5–70°):
d_spacing	two_theta	intensity
3.875	23.0	27.7
3.355	26.6	70.1
2.373	37.9	100.0
2.023	44.8	14.6
1.937	46.9	22.0
1.678	54.7	18.0
1.540	60.1	6.4
1.501	61.8	25.3
1.370	68.5	33.7